1.
The following is a calculated powder diffraction line list of Cs8MgSn8O12. It was derived from a cell relaxed with PBE, using Cu Ka.
Peak positions follow from Bragg's law for the DFT cell and can differ from measured ones.

The 10 most intense peaks (2θ = 10–80°), most intense first:
2θ (°)  I/Imax
10.9  1000
25.6  893
28.1  859
28.7  705
30.9  318
40.2  301
27.1  273
24.8  239
40.0  206
50.0  205

Atomic structure:
```
data_Cs8MgSn8O12
_cell_length_a 9.094
_cell_length_b 6.213
_cell_length_c 16.342
_cell_angle_alpha 90.00
_cell_angle_beta 97.24
_cell_angle_gamma 90.00
_space_group_name_H-M_alt 'P 1 m 1'
_space_group_IT_number 6
loop_
_space_group_symop_operation_xyz
'x,y,z'
'x,-y,z'
loop_
_atom_site_label
_atom_site_type_symbol
_atom_site_fract_x
_atom_site_fract_y
_atom_site_fract_z
Cs1 Cs 0.000 0.000 0.000
Cs2 Cs 0.009 0.500 0.457
Cs3 Cs 0.146 0.000 0.765
Cs4 Cs 0.157 0.500 0.235
Cs5 Cs 0.444 0.000 0.208
Cs6 Cs 0.456 0.500 0.792
Cs7 Cs 0.695 0.000 0.443
Cs8 Cs 0.708 0.500 0.034
Mg1 Mg 0.795 0.500 0.655
Sn1 Sn 0.234 0.000 0.385
Sn2 Sn 0.253 0.500 0.994
Sn3 Sn 0.436 0.000 0.941
Sn4 Sn 0.449 0.500 0.439
Sn5 Sn 0.706 0.000 0.797
Sn6 Sn 0.709 0.500 0.287
Sn7 Sn 0.902 0.000 0.235
Sn8 Sn 0.916 0.500 0.854
O1 O 0.022 0.500 0.976
O2 O 0.131 0.000 0.262
O3 O 0.280 0.248 0.913
O4 O 0.377 0.247 0.359
O5 O 0.486 0.000 0.819
O6 O 0.664 0.500 0.409
O7 O 0.772 0.253 0.878
O8 O 0.865 0.252 0.314
```

2.
The following is a calculated powder diffraction line list of Cs2MgP2S6. It was derived from a cell relaxed with PBE, using Cu Ka.
Peak positions follow from Bragg's law for the DFT cell and can differ from measured ones.

The 10 most intense peaks (2θ = 10–80°), most intense first:
2θ (°)  I/Imax
34.5  1000
30.8  881
25.4  755
26.6  707
23.0  578
52.2  363
59.5  356
37.1  321
17.1  291
47.0  278

Atomic structure:
```
data_Cs2MgP2S6
_cell_length_a 7.0148
_cell_length_b 7.0148
_cell_length_c 20.0813
_cell_angle_alpha 90.00
_cell_angle_beta 90.00
_cell_angle_gamma 120.00
_space_group_name_H-M_alt 'R -3 m'
_space_group_IT_number 166
_space_group_name_Hall '-R 3 2"'
loop_
_atom_site_label
_atom_site_type_symbol
_atom_site_fract_x
_atom_site_fract_y
_atom_site_fract_z
Cs1 Cs 0.0000 0.0000 0.2423
Mg1 Mg 0.0000 0.0000 0.0000
P1 P 0.0000 0.0000 0.4410
S1 S 0.0052 0.5026 0.2465
```

3.
The following is a calculated powder diffraction line list of CsMgPb4. It was derived from a cell relaxed with PBE, using Cu Ka.
Peak positions follow from Bragg's law for the DFT cell and can differ from measured ones.

The 10 most intense peaks (2θ = 10–80°), most intense first:
2θ (°)  I/Imax
26.6  1000
49.4  982
25.5  794
28.1  723
23.2  565
37.1  510
31.5  468
33.6  460
33.1  438
26.0  435

Atomic structure:
```
data_CsMgPb4
_cell_length_a 7.658
_cell_length_b 7.658
_cell_length_c 8.526
_cell_angle_alpha 90.00
_cell_angle_beta 90.00
_cell_angle_gamma 90.00
_space_group_name_H-M_alt 'P 4/m b m'
_space_group_IT_number 127
_space_group_name_Hall '-P 4 2ab'
loop_
_atom_site_label
_atom_site_type_symbol
_atom_site_fract_x
_atom_site_fract_y
_atom_site_fract_z
Cs1 Cs 0.000 0.500 0.000
Mg1 Mg 0.000 0.000 0.500
Pb1 Pb 0.000 0.000 0.176
Pb2 Pb 0.150 0.350 0.500
```

4.
The following is a calculated powder diffraction line list of CsMg2Pb2. It was derived from a cell relaxed with PBE, using Cu Ka.
Peak positions follow from Bragg's law for the DFT cell and can differ from measured ones.

The 10 most intense peaks (2θ = 10–80°), most intense first:
2θ (°)  I/Imax
25.4  1000
28.9  702
17.6  530
34.5  459
46.0  400
23.9  360
36.3  333
50.0  326
34.9  294
35.0  292

Atomic structure:
```
data_CsMg2Pb2
_cell_length_a 5.122
_cell_length_b 5.137
_cell_length_c 27.125
_cell_angle_alpha 90.00
_cell_angle_beta 90.00
_cell_angle_gamma 90.00
_space_group_name_H-M_alt 'I m m a'
_space_group_IT_number 74
_space_group_name_Hall '-I 2b 2'
loop_
_atom_site_label
_atom_site_type_symbol
_atom_site_fract_x
_atom_site_fract_y
_atom_site_fract_z
Cs1 Cs 0.000 0.250 0.093
Mg1 Mg 0.000 0.250 0.288
Mg2 Mg 0.000 0.250 0.785
Pb1 Pb 0.000 0.250 0.531
Pb2 Pb 0.000 0.250 0.656
```

Question: Number 1 is which compound?
Answer: Cs8MgSn8O12

Question: What is the formula in the first record?
Answer: Cs8MgSn8O12